Record 1
This entry pairs a crystal structure of Th3Au with its calculated XRD peak list. Radiation: Cu Kα, 1.54184 Å. Structure: a cell relaxed with PBE.
Lines closer than 0.1° are merged.

Peak list (6 most intense, 10° ≤ 2θ ≤ 80°, in order of falling intensity)
two_theta	I/Imax
31.9	100
37.0	51
63.5	43
53.3	36
66.7	13
78.8	6

Atomic structure:
Unit cell a=4.858 b=4.858 c=4.858 alpha=90.00 beta=90.00 gamma=90.00
Positions (direct):
Th1 0.000 0.000 0.500
Th2 0.000 0.500 0.000
Th3 0.500 0.000 0.000
Au1 0.500 0.500 0.500

---

Record 2
This entry pairs a crystal structure of Zr3Sn with its calculated XRD peak list. Radiation: Cu Kα, 1.54184 Å. Structure: a cell relaxed with PBE.
Lines closer than 0.1° are merged.

Peak list (9 most intense, 10° ≤ 2θ ≤ 80°, in order of falling intensity)
two_theta	I/Imax
34.6	100
41.4	30
71.2	24
57.2	23
37.7	20
66.1	15
73.1	11
60.0	10
22.4	1

Atomic structure:
Unit cell a=4.359 b=4.359 c=9.551 alpha=90.00 beta=90.00 gamma=90.00
Positions (direct):
Zr1 0.000 0.000 0.000
Zr2 0.000 0.500 0.250
Zr3 0.000 0.500 0.750
Zr4 0.500 0.000 0.250
Zr5 0.500 0.000 0.750
Zr6 0.500 0.500 0.500
Sn1 0.000 0.000 0.500
Sn2 0.500 0.500 0.000

---

Record 3
This entry pairs a crystal structure of LuSnIr with its calculated XRD peak list. Radiation: Cu Kα, 1.54184 Å. Structure: a cell relaxed with PBE.
Lines closer than 0.1° are merged.

Peak list (12 most intense, 10° ≤ 2θ ≤ 80°, in order of falling intensity)
two_theta	I/Imax
36.4	100
33.6	70
41.5	44
67.3	29
43.8	28
65.3	24
48.1	19
77.4	15
61.8	11
23.6	9
56.4	9
50.4	9

Atomic structure:
Unit cell a=7.535 b=7.535 c=3.786 alpha=90.00 beta=90.00 gamma=120.00
Positions (direct):
Lu1 0.000 0.402 0.000
Lu2 0.402 0.000 0.000
Lu3 0.598 0.598 0.000
Sn1 0.000 0.735 0.500
Sn2 0.265 0.265 0.500
Sn3 0.735 0.000 0.500
Ir1 0.000 0.000 0.000
Ir2 0.333 0.667 0.500
Ir3 0.667 0.333 0.500

---

Record 4
This entry pairs a crystal structure of KAuF3 with its calculated XRD peak list. Radiation: Cu Kα, 1.54184 Å. Structure: a cell relaxed with PBE.
Lines closer than 0.1° are merged.

Peak list (12 most intense, 10° ≤ 2θ ≤ 80°, in order of falling intensity)
two_theta	I/Imax
28.1	100
19.8	74
49.8	42
45.2	37
40.2	35
58.2	23
65.9	19
62.1	18
76.6	8
34.6	8
73.1	7
69.5	5

Atomic structure:
Unit cell a=4.484 b=4.484 c=4.484 alpha=90.00 beta=90.00 gamma=90.00
Positions (direct):
K1 0.000 0.000 0.000
Au1 0.500 0.500 0.500
F1 0.000 0.500 0.500
F2 0.500 0.000 0.500
F3 0.500 0.500 0.000

---

Record 5
This entry pairs a crystal structure of Cs3BS3 with its calculated XRD peak list. Radiation: Cu Kα, 1.54184 Å. Structure: a cell relaxed with PBE.
Lines closer than 0.1° are merged.

Peak list (12 most intense, 10° ≤ 2θ ≤ 80°, in order of falling intensity)
two_theta	I/Imax
28.0	100
23.8	88
29.6	73
28.5	72
21.2	66
21.6	64
29.0	61
27.8	60
23.6	43
30.6	40
23.0	34
44.9	30

Atomic structure:
Unit cell a=10.865 b=6.743 c=13.843 alpha=90.00 beta=102.87 gamma=90.00
Positions (direct):
Cs1 0.032 0.214 0.358
Cs2 0.032 0.286 0.858
Cs3 0.254 0.648 0.491
Cs4 0.254 0.852 0.991
Cs5 0.403 0.052 0.302
Cs6 0.403 0.448 0.802
Cs7 0.597 0.552 0.198
Cs8 0.597 0.948 0.698
Cs9 0.746 0.148 0.009
Cs10 0.746 0.352 0.509
Cs11 0.968 0.714 0.142
Cs12 0.968 0.786 0.642
B1 0.235 0.127 0.626
B2 0.235 0.373 0.126
B3 0.765 0.627 0.874
B4 0.765 0.873 0.374
S1 0.096 0.213 0.119
S2 0.096 0.287 0.619
S3 0.279 0.557 0.227
S4 0.279 0.943 0.727
S5 0.334 0.155 0.535
S6 0.334 0.345 0.035
S7 0.666 0.655 0.965
S8 0.666 0.845 0.465
S9 0.721 0.057 0.273
S10 0.721 0.443 0.773
S11 0.904 0.713 0.381
S12 0.904 0.787 0.881

---

Record 6
This entry pairs a crystal structure of Nd2CO5 with its calculated XRD peak list. Radiation: Cu Kα, 1.54184 Å. Structure: a cell relaxed with PBE.
Lines closer than 0.1° are merged.

Peak list (12 most intense, 10° ≤ 2θ ≤ 80°, in order of falling intensity)
two_theta	I/Imax
27.3	100
32.1	99
31.7	92
22.7	86
26.6	60
47.6	59
48.9	54
27.7	53
34.3	51
35.2	48
43.9	47
46.8	40

Atomic structure:
Unit cell a=3.821 b=3.821 c=15.701 alpha=90.00 beta=90.00 gamma=118.90
Positions (direct):
Nd1 0.145 0.855 0.598
Nd2 0.145 0.855 0.902
Nd3 0.855 0.145 0.098
Nd4 0.855 0.145 0.402
C1 0.404 0.596 0.750
C2 0.596 0.404 0.250
O1 0.185 0.815 0.069
O2 0.185 0.815 0.431
O3 0.209 0.791 0.750
O4 0.500 0.500 0.178
O5 0.500 0.500 0.322
O6 0.500 0.500 0.678
O7 0.500 0.500 0.822
O8 0.791 0.209 0.250
O9 0.815 0.185 0.569
O10 0.815 0.185 0.931

---

Record 7
This entry pairs a crystal structure of K2TaAgS4 with its calculated XRD peak list. Radiation: Cu Kα, 1.54184 Å. Structure: a cell relaxed with PBE.
Lines closer than 0.1° are merged.

Peak list (12 most intense, 10° ≤ 2θ ≤ 80°, in order of falling intensity)
two_theta	I/Imax
15.2	100
15.3	59
26.6	44
41.0	35
38.1	26
32.7	25
36.3	25
30.6	18
31.5	16
46.9	15
46.7	14
50.7	13

Atomic structure:
Unit cell a=13.387 b=11.933 c=7.399 alpha=84.17 beta=62.47 gamma=33.36
Positions (direct):
K1 0.055 0.055 0.695
K2 0.305 0.305 0.945
K3 0.695 0.695 0.055
K4 0.945 0.945 0.305
Ta1 0.125 0.125 0.125
Ta2 0.875 0.875 0.875
Ag1 0.375 0.375 0.375
Ag2 0.625 0.625 0.625
S1 0.072 0.294 0.382
S2 0.247 0.618 0.706
S3 0.294 0.072 0.753
S4 0.382 0.753 0.072
S5 0.618 0.247 0.928
S6 0.706 0.928 0.247
S7 0.753 0.382 0.294
S8 0.928 0.706 0.618

---

Record 8
This entry pairs a crystal structure of TbEu4S5 with its calculated XRD peak list. Radiation: Cu Kα, 1.54184 Å. Structure: a cell relaxed with PBE.
Lines closer than 0.1° are merged.

Peak list (8 most intense, 10° ≤ 2θ ≤ 80°, in order of falling intensity)
two_theta	I/Imax
30.9	100
26.7	78
44.3	73
52.5	39
73.2	32
55.0	25
71.0	16
64.4	12

Atomic structure:
Unit cell a=14.741 b=14.741 c=14.741 alpha=164.05 beta=164.05 gamma=22.63
Positions (direct):
Tb1 0.000 0.000 0.000
Eu1 0.200 0.200 0.000
Eu2 0.401 0.401 0.000
Eu3 0.599 0.599 0.000
Eu4 0.800 0.800 0.000
S1 0.096 0.096 0.000
S2 0.300 0.300 0.000
S3 0.500 0.500 0.000
S4 0.700 0.700 0.000
S5 0.904 0.904 0.000

---

Record 9
This entry pairs a crystal structure of SbPN2O4F with its calculated XRD peak list. Radiation: Cu Kα, 1.54184 Å. Structure: a cell relaxed with PBE.
Lines closer than 0.1° are merged.

Peak list (12 most intense, 10° ≤ 2θ ≤ 80°, in order of falling intensity)
two_theta	I/Imax
10.8	100
21.2	62
29.3	36
14.5	36
27.2	29
30.5	23
19.1	15
43.6	12
41.3	12
41.0	11
44.6	11
34.7	11

Atomic structure:
Unit cell a=9.408 b=9.408 c=9.408 alpha=139.15 beta=139.15 gamma=59.15
Positions (direct):
Sb1 0.198 0.198 0.000
Sb2 0.802 0.802 0.000
P1 0.250 0.750 0.500
P2 0.750 0.250 0.500
N1 0.205 0.656 0.861
N2 0.344 0.205 0.549
N3 0.656 0.795 0.451
N4 0.795 0.344 0.139
O1 0.125 0.860 0.371
O2 0.140 0.510 0.265
O3 0.245 0.875 0.735
O4 0.490 0.755 0.629
O5 0.510 0.245 0.371
O6 0.755 0.125 0.265
O7 0.860 0.490 0.735
O8 0.875 0.140 0.629
F1 0.084 0.084 0.000
F2 0.916 0.916 0.000

---

Record 10
This entry pairs a crystal structure of Fe2Si with its calculated XRD peak list. Radiation: Cu Kα, 1.54184 Å. Structure: a cell relaxed with PBE.
Lines closer than 0.1° are merged.

Peak list (12 most intense, 10° ≤ 2θ ≤ 80°, in order of falling intensity)
two_theta	I/Imax
46.0	100
46.2	97
67.3	29
32.2	16
26.2	5
18.3	3
57.4	3
76.7	2
76.4	1
50.1	1
63.9	1
57.1	1

Atomic structure:
Unit cell a=3.929 b=3.929 c=4.840 alpha=90.00 beta=90.00 gamma=120.00
Positions (direct):
Fe1 0.000 0.000 0.000
Fe2 0.000 0.000 0.500
Fe3 0.333 0.667 0.179
Fe4 0.667 0.333 0.821
Si1 0.333 0.667 0.681
Si2 0.667 0.333 0.319